Starting from a DFT-relaxed cell (GGA-PBE, Alexandria), the XRD peak list of NaLa2Br4 was computed for Cu Kα X-rays.
Peak positions follow from Bragg's law for the DFT cell and can differ from measured ones.

```
14
Lattice="-4.613 4.811 5.091 4.613 -4.811 5.091 4.613 4.811 -5.091" Properties=species:S:1:pos:R:3 pbc="T T T"
Na 0.000 0.000 0.000
Na 0.000 4.811 3.463
La 4.613 -2.114 2.242
La 2.088 4.811 -0.775
La 2.525 0.000 4.316
La 4.613 2.114 2.242
Br 2.637 0.000 1.239
Br 6.589 0.000 1.239
Br 4.613 2.856 -0.876
Br 0.000 2.833 0.252
Br 0.000 1.955 4.214
Br 0.000 6.789 0.252
Br 2.778 4.811 2.446
Br 1.834 0.000 7.537
```

The 8 most intense peaks (10 to 80 degrees two-theta), low angle first:
Position (°2θ)	I_rel
12.7	239
12.9	281
26.8	1000
27.9	277
28.0	307
33.7	223
34.1	274
35.2	276